Record 1
Theoretical powder diffraction line list
Compound: Ca2Mg5Zn5
Radiation: Cu Kα
Structure: a PBE-relaxed structure
No peak broadening, texture or thermal motion is included.

Largest 6 diffraction maxima, low angle first, 2θ from 10° to 80°:
2θ (°)  I (rel.)
26.20  35
36.89  100
37.75  40
39.03  42
41.96  53
54.81  31

Crystal structure
abc: 4.616 5.564 10.061
angles: 90.00 90.00 90.00
Element x y z (fractional)
Ca1 0.000 0.000 0.000
Ca2 0.000 0.500 0.500
Mg1 0.000 0.000 0.321
Mg2 0.000 0.000 0.679
Mg3 0.000 0.500 0.165
Mg4 0.000 0.500 0.835
Mg5 0.500 0.000 0.500
Zn1 0.500 0.250 0.240
Zn2 0.500 0.250 0.760
Zn3 0.500 0.500 0.000
Zn4 0.500 0.750 0.240
Zn5 0.500 0.750 0.760

Record 2
Theoretical powder diffraction line list
Compound: CaMgZn
Radiation: Cu Kα
Structure: a PBE-relaxed structure
No peak broadening, texture or thermal motion is included.

Largest 6 diffraction maxima, low angle first, 2θ from 10° to 80°:
2θ (°)  I (rel.)
17.96  89
33.07  44
34.44  100
36.39  37
38.07  59
38.84  51

Crystal structure
abc: 6.611 7.427 6.129
angles: 90.00 90.00 90.00
Element x y z (fractional)
Ca1 0.099 0.091 0.250
Ca2 0.099 0.409 0.750
Ca3 0.901 0.591 0.250
Ca4 0.901 0.909 0.750
Mg1 0.417 0.051 0.750
Mg2 0.417 0.449 0.250
Mg3 0.583 0.551 0.750
Mg4 0.583 0.949 0.250
Zn1 0.284 0.750 0.000
Zn2 0.284 0.750 0.500
Zn3 0.716 0.250 0.000
Zn4 0.716 0.250 0.500

Record 3
Theoretical powder diffraction line list
Compound: Ca2MgZn
Radiation: Cu Kα
Structure: a PBE-relaxed structure
No peak broadening, texture or thermal motion is included.

Largest 6 diffraction maxima, low angle first, 2θ from 10° to 80°:
2θ (°)  I (rel.)
20.14  14
33.18  100
47.63  17
59.27  34
69.64  10
79.34  13

Crystal structure
abc: 5.401 5.401 5.401
angles: 60.00 60.00 60.00
Element x y z (fractional)
Ca1 0.250 0.250 0.250
Ca2 0.750 0.750 0.750
Mg1 0.000 0.000 0.000
Zn1 0.500 0.500 0.500

Record 4
Theoretical powder diffraction line list
Compound: CaMg11Zn
Radiation: Cu Kα
Structure: a PBE-relaxed structure
No peak broadening, texture or thermal motion is included.

Largest 6 diffraction maxima, low angle first, 2θ from 10° to 80°:
2θ (°)  I (rel.)
17.34  25
30.15  29
35.10  100
35.23  25
35.47  61
39.59  34

Crystal structure
abc: 7.797 7.797 7.749
angles: 97.78 97.78 135.79
Element x y z (fractional)
Ca1 0.000 0.000 0.000
Mg1 0.000 0.000 0.500
Mg2 0.000 0.500 0.000
Mg3 0.006 0.353 0.357
Mg4 0.293 0.504 0.779
Mg5 0.353 0.006 0.357
Mg6 0.496 0.707 0.221
Mg7 0.500 0.000 0.000
Mg8 0.504 0.293 0.779
Mg9 0.647 0.994 0.643
Mg10 0.707 0.496 0.221
Mg11 0.994 0.647 0.643
Zn1 0.500 0.500 0.500

Record 5
Theoretical powder diffraction line list
Compound: Ca4MgZn8
Radiation: Cu Kα
Structure: a PBE-relaxed structure
No peak broadening, texture or thermal motion is included.

Largest 6 diffraction maxima, low angle first, 2θ from 10° to 80°:
2θ (°)  I (rel.)
19.03  86
28.92  61
36.38  100
38.61  46
40.67  57
49.51  47

Crystal structure
abc: 7.461 7.461 7.461
angles: 113.01 113.01 102.61
Element x y z (fractional)
Ca1 0.000 0.000 0.500
Ca2 0.000 0.500 0.000
Ca3 0.500 0.000 0.000
Ca4 0.500 0.500 0.500
Mg1 0.000 0.000 0.000
Zn1 0.000 0.344 0.344
Zn2 0.000 0.656 0.656
Zn3 0.280 0.500 0.780
Zn4 0.344 0.000 0.344
Zn5 0.500 0.280 0.780
Zn6 0.500 0.720 0.220
Zn7 0.656 0.000 0.656
Zn8 0.720 0.500 0.220

Record 6
Theoretical powder diffraction line list
Compound: CaMg10Zn3
Radiation: Cu Kα
Structure: a PBE-relaxed structure
No peak broadening, texture or thermal motion is included.

Largest 6 diffraction maxima, low angle first, 2θ from 10° to 80°:
2θ (°)  I (rel.)
22.22  100
33.60  52
36.69  89
38.43  35
43.31  92
66.06  34

Crystal structure
abc: 9.799 9.799 9.799
angles: 60.00 60.00 60.00
Element x y z (fractional)
Ca1 0.250 0.250 0.250
Ca2 0.750 0.750 0.750
Mg1 0.000 0.000 0.341
Mg2 0.000 0.000 0.659
Mg3 0.000 0.341 0.000
Mg4 0.000 0.341 0.659
Mg5 0.000 0.659 0.000
Mg6 0.000 0.659 0.341
Mg7 0.161 0.613 0.613
Mg8 0.341 0.000 0.000
Mg9 0.341 0.000 0.659
Mg10 0.341 0.659 0.000
Mg11 0.387 0.387 0.387
Mg12 0.387 0.387 0.839
Mg13 0.387 0.839 0.387
Mg14 0.613 0.161 0.613
Mg15 0.613 0.613 0.161
Mg16 0.613 0.613 0.613
Mg17 0.659 0.000 0.000
Mg18 0.659 0.000 0.341
Mg19 0.659 0.341 0.000
Mg20 0.839 0.387 0.387
Zn1 0.268 0.268 0.732
Zn2 0.268 0.732 0.268
Zn3 0.268 0.732 0.732
Zn4 0.732 0.268 0.268
Zn5 0.732 0.268 0.732
Zn6 0.732 0.732 0.268

Record 7
Theoretical powder diffraction line list
Compound: Ca3Mg7Zn4
Radiation: Cu Kα
Structure: a PBE-relaxed structure
No peak broadening, texture or thermal motion is included.

Largest 6 diffraction maxima, low angle first, 2θ from 10° to 80°:
2θ (°)  I (rel.)
20.18  49
31.69  74
32.27  58
33.29  100
39.57  59
40.45  75

Crystal structure
abc: 8.756 8.756 10.663
angles: 123.10 123.10 29.51
Element x y z (fractional)
Ca1 0.000 0.000 0.000
Ca2 0.307 0.307 0.298
Ca3 0.693 0.693 0.702
Mg1 0.000 0.000 0.500
Mg2 0.165 0.165 0.428
Mg3 0.320 0.320 0.985
Mg4 0.490 0.490 0.704
Mg5 0.510 0.510 0.296
Mg6 0.680 0.680 0.015
Mg7 0.835 0.835 0.572
Zn1 0.113 0.113 0.824
Zn2 0.338 0.338 0.739
Zn3 0.662 0.662 0.261
Zn4 0.887 0.887 0.176

Record 8
Theoretical powder diffraction line list
Compound: Ca2Mg2Zn
Radiation: Cu Kα
Structure: a PBE-relaxed structure
No peak broadening, texture or thermal motion is included.

Largest 6 diffraction maxima, low angle first, 2θ from 10° to 80°:
2θ (°)  I (rel.)
17.84  24
26.71  19
32.83  65
33.12  100
36.03  47
36.76  49

Crystal structure
abc: 8.257 8.257 6.450
angles: 90.03 90.03 38.27
Element x y z (fractional)
Ca1 0.000 0.000 0.000
Ca2 0.242 0.242 0.808
Ca3 0.605 0.605 0.310
Ca4 0.847 0.847 0.500
Mg1 0.214 0.214 0.302
Mg2 0.393 0.393 0.172
Mg3 0.453 0.453 0.673
Mg4 0.633 0.633 0.804
Zn1 0.059 0.059 0.537
Zn2 0.787 0.787 0.037